# Ta2CrNO5
Computed powder X-ray diffraction pattern, a wavelength of 1.5418 Å. Input: DFT lattice parameters and positions (GGA+U).
Kinematic intensities with the Lorentz-polarization factor, no thermal factor.

Main lines, in order of rising 2θ (2θ from 10° to 90°):
2θ 21.03, intensity 42.1, (1 1 1); 2θ 26.47, intensity 62.8, (0 2 0); 2θ 26.67, intensity 62.8, (2 0 0); 2θ 34.60, intensity 100.0, (1 1 3); 2θ 37.93, intensity 31.3, (2 2 0); 2θ 52.16, intensity 41.0, (1 3 3); 2θ 52.38, intensity 39.4, (3 1 3); 2θ 54.50, intensity 10.1, (0 4 0); 2θ 66.37, intensity 23.3, (3 3 3); 2θ 66.54, intensity 17.3, (2 0 6)

Structure:
Cell: 6.6856 6.7349 9.2863 Å, 90.00 90.00 90.00°
Space group Cmmm (No. 65)
One atom of each set of equivalent atoms:
Ta 0.0000 0.0000 0.1565 (multiplicity 4)
Ta 0.0000 0.5000 0.3320 (multiplicity 4)
Cr 0.0000 0.0000 0.5000 (multiplicity 2)
Cr 0.0000 0.5000 0.0000 (multiplicity 2)
N 0.1959 0.0000 0.0000 (multiplicity 4)
O 0.0000 0.3044 0.1739 (multiplicity 8)
O 0.0000 0.3064 0.5000 (multiplicity 4)
O 0.1993 0.0000 0.3355 (multiplicity 8)